For LiMn2CuRu2O8, a DFT-relaxed cell (PBE+U, Alexandria) gives the theoretical powder XRD pattern in this record (Cu Kα (λ = 1.5418 Å)).
Intensities are scaled so that the largest is 100.

The 10 most intense peaks (2θ = 5–70°), in order of falling intensity:
two_theta, I_rel
17.72, 100
36.30, 68
60.62, 49
33.15, 38
43.84, 37
35.23, 28
39.70, 26
33.53, 23
57.21, 22
35.88, 22

Atomic structure:
```
data_LiMn2CuRu2O8
_chemical_formula_sum 'Li2 Mn4 Cu2 Ru4 O16'
_space_group_name_H-M_alt 'I m m 2'
_space_group_IT_number 44
_cell_length_a 5.693
_cell_length_b 5.999
_cell_length_c 9.082
_cell_angle_alpha 90.00
_cell_angle_beta 90.00
_cell_angle_gamma 90.00
loop_
_space_group_symop_operation_xyz
'x,y,z'
'-x,-y,z'
'-x,y,z'
'x,-y,z'
'x+1/2,y+1/2,z+1/2'
'-x+1/2,-y+1/2,z+1/2'
'-x+1/2,y+1/2,z+1/2'
'x+1/2,-y+1/2,z+1/2'
loop_
_atom_site_label
_atom_site_fract_x
_atom_site_fract_y
_atom_site_fract_z
Li1 0.000 0.000 0.000
Mn1 0.000 0.248 0.600
Cu1 0.000 0.500 0.231
Ru1 0.223 0.500 0.855
O1 0.000 0.220 0.357
O2 0.000 0.244 0.851
O3 0.224 0.500 0.629
O4 0.238 0.000 0.583
```